Entry 1:
Theoretical XRD peak list of MgTlIr for copper Kα, from a structure optimized by DFT (PBE).

Peak list (8 most intense, 10° ≤ 2θ ≤ 90°, by angle)
(0 0 2), 19.17°, rel. 32
(0 1 1), 25.65°, rel. 48
(1 0 1), 29.68°, rel. 34
(1 1 0), 37.06°, rel. 100
(0 1 3), 37.77°, rel. 93
(1 0 3), 40.72°, rel. 75
(1 2 3), 65.23°, rel. 38
(2 1 3), 71.26°, rel. 29

Crystal structure
Cell lengths 3.183, 3.746, 9.258 Å; angles 90.00, 90.00, 90.00 degrees
Space group Imm2 (No. 44)
Unique sites:
Mg: 0.000 0.000 0.000 (multiplicity 2)
Tl: 0.000 0.000 0.689 (multiplicity 2)
Ir: 0.000 0.000 0.366 (multiplicity 2)

***

Entry 2:
Theoretical XRD peak list of MgTlIr for copper Kα, from a structure optimized by DFT (PBE).

Peak list (8 most intense, 10° ≤ 2θ ≤ 90°, by angle)
(2 0 0), 11.94°, rel. 81
(5 0 0), 30.13°, rel. 23
(0 1 1), 34.02°, rel. 32
(1 0 2), 34.57°, rel. 28
(2 1 1), 36.18°, rel. 24
(3 1 1), 38.72°, rel. 100
(4 0 2), 42.07°, rel. 36
(0 2 0), 60.89°, rel. 24

Crystal structure
Cell lengths 14.830, 3.042, 5.271 Å; angles 90.00, 90.00, 90.00 degrees
Space group Amm2 (No. 38)
Unique sites:
Mg: 0.000 0.000 0.000 (multiplicity 2)
Mg: 0.500 0.000 0.343 (multiplicity 2)
Tl: 0.301 0.000 0.002 (multiplicity 4)
Ir: 0.140 0.000 0.334 (multiplicity 4)

***

Entry 3:
Theoretical XRD peak list of Tm4MgIr2 for copper Kα, from a structure optimized by DFT (PBE).

Peak list (8 most intense, 10° ≤ 2θ ≤ 90°, by angle)
(0 0 1), 12.37°, rel. 71
(0 1 0), 12.78°, rel. 91
(1 0 0), 12.89°, rel. 100
(1 2 0), 31.47°, rel. 65
(1 -2 2), 33.16°, rel. 47
(2 -2 1), 33.63°, rel. 58
(2 0 -2), 34.06°, rel. 52
(1 2 1), 36.57°, rel. 81

Crystal structure
Cell lengths 7.067, 7.266, 7.357 Å; angles 101.67, 93.85, 102.07 degrees
Space group P1 (No. 1)
Unique sites:
Tm: 0.000 0.000 0.000 (multiplicity 1)
Tm: 0.012 0.506 0.939 (multiplicity 1)
Tm: 0.072 0.149 0.521 (multiplicity 1)
Tm: 0.327 0.468 0.301 (multiplicity 1)
Tm: 0.436 0.855 0.016 (multiplicity 1)
Tm: 0.481 0.332 0.842 (multiplicity 1)
Tm: 0.548 0.901 0.551 (multiplicity 1)
Tm: 0.957 0.642 0.542 (multiplicity 1)
Mg: 0.718 0.256 0.256 (multiplicity 1)
Mg: 0.759 0.706 0.194 (multiplicity 1)
Ir: 0.176 0.801 0.278 (multiplicity 1)
Ir: 0.246 0.962 0.735 (multiplicity 1)
Ir: 0.284 0.548 0.674 (multiplicity 1)
Ir: 0.708 0.688 0.817 (multiplicity 1)

***

Entry 4:
Theoretical XRD peak list of Tm3Mg2Ir for copper Kα, from a structure optimized by DFT (PBE).

Peak list (8 most intense, 10° ≤ 2θ ≤ 90°, by angle)
(0 0 1), 11.26°, rel. 56
(1 3 0), 25.55°, rel. 17
(1 3 2), 34.38°, rel. 100
(0 6 0), 36.24°, rel. 23
(2 0 0), 36.63°, rel. 25
(1 3 3), 43.18°, rel. 28
(2 6 0), 52.48°, rel. 16
(3 3 2), 64.51°, rel. 16

Crystal structure
Cell lengths 4.906, 14.872, 7.861 Å; angles 90.00, 90.00, 90.00 degrees
Space group Cmmm (No. 65)
Unique sites:
Tm: 0.000 0.000 0.225 (multiplicity 4)
Tm: 0.000 0.324 0.208 (multiplicity 8)
Mg: 0.000 0.167 0.500 (multiplicity 4)
Mg: 0.000 0.500 0.000 (multiplicity 2)
Mg: 0.000 0.500 0.500 (multiplicity 2)
Ir: 0.000 0.153 0.000 (multiplicity 4)

***

Entry 5:
Theoretical XRD peak list of Mg3UIr4 for copper Kα, from a structure optimized by DFT (PBE).

Peak list (8 most intense, 10° ≤ 2θ ≤ 90°, by angle)
(0 0 1), 12.38°, rel. 13
(0 0 2), 24.90°, rel. 14
(1 1 0), 29.46°, rel. 19
(1 1 2), 38.95°, rel. 100
(2 0 0), 42.15°, rel. 40
(2 2 0), 61.14°, rel. 14
(2 0 4), 68.31°, rel. 20
(3 1 2), 74.90°, rel. 30

Crystal structure
Cell lengths 4.288, 4.288, 7.152 Å; angles 90.00, 90.00, 90.00 degrees
Space group P4/mmm (No. 123)
Unique sites:
Mg: 0.000 0.000 0.000 (multiplicity 1)
Mg: 0.000 0.000 0.500 (multiplicity 1)
Mg: 0.500 0.500 0.000 (multiplicity 1)
U: 0.500 0.500 0.500 (multiplicity 1)
Ir: 0.000 0.500 0.249 (multiplicity 4)

***

Entry 6:
Theoretical XRD peak list of MgUIr2 for copper Kα, from a structure optimized by DFT (PBE).

Peak list (8 most intense, 10° ≤ 2θ ≤ 90°, by angle)
(1 0 0), 17.42°, rel. 56
(0 1 1), 19.01°, rel. 36
(0 0 4), 34.06°, rel. 73
(0 2 0), 34.45°, rel. 100
(2 1 -1), 37.17°, rel. 79
(1 1 -5), 43.15°, rel. 44
(2 1 -5), 47.21°, rel. 43
(0 2 4), 49.22°, rel. 53

Crystal structure
Cell lengths 5.538, 5.207, 11.455 Å; angles 90.00, 113.20, 90.00 degrees
Space group P2/c (No. 13)
Unique sites:
Mg: 0.034 0.249 0.111 (multiplicity 4)
U: 0.312 0.250 0.895 (multiplicity 4)
Ir: 0.225 0.251 0.655 (multiplicity 4)
Ir: 0.440 0.250 0.358 (multiplicity 4)

***

Entry 7:
Theoretical XRD peak list of Mg3UIr3 for copper Kα, from a structure optimized by DFT (PBE).

Peak list (8 most intense, 10° ≤ 2θ ≤ 90°, by angle)
(1 0 1), 19.54°, rel. 100
(0 2 1), 27.96°, rel. 19
(2 1 1), 34.50°, rel. 50
(2 0 2), 39.69°, rel. 85
(2 2 0), 40.23°, rel. 82
(1 3 1), 45.10°, rel. 24
(0 4 2), 57.79°, rel. 29
(4 2 2), 72.76°, rel. 29

Crystal structure
Cell lengths 8.9665, 8.9665, 5.6000 Å; angles 90.00, 90.00, 120.00 degrees
Space group R-3m (No. 166, hexagonal axes)
Unique sites:
Mg: 0.0000 0.5000 0.0000 (multiplicity 9)
U: 0.0000 0.0000 0.0000 (multiplicity 3)
Ir: 0.0000 0.5000 0.5000 (multiplicity 9)

***

Entry 8:
Theoretical XRD peak list of Mg5UIr6 for copper Kα, from a structure optimized by DFT (PBE).

Peak list (8 most intense, 10° ≤ 2θ ≤ 90°, by angle)
(0 0 2), 27.88°, rel. 14
(1 3 0), 28.18°, rel. 27
(2 0 0), 40.06°, rel. 100
(0 6 0), 40.47°, rel. 19
(2 6 0), 58.27°, rel. 13
(3 3 2), 72.78°, rel. 21
(1 9 2), 73.33°, rel. 14
(4 0 0), 86.47°, rel. 11

Crystal structure
Cell lengths 4.500, 13.373, 6.400 Å; angles 90.00, 90.00, 90.00 degrees
Space group Cmmm (No. 65)
Unique sites:
Mg: 0.000 0.000 0.000 (multiplicity 2)
Mg: 0.000 0.327 0.500 (multiplicity 4)
Mg: 0.000 0.331 0.000 (multiplicity 4)
U: 0.000 0.000 0.500 (multiplicity 2)
Ir: 0.000 0.163 0.251 (multiplicity 8)
Ir: 0.000 0.500 0.245 (multiplicity 4)

***

Entry 9:
Theoretical XRD peak list of Y3Mg4Ir4 for copper Kα, from a structure optimized by DFT (PBE).

Peak list (8 most intense, 10° ≤ 2θ ≤ 90°, by angle)
(0 0 4), 24.74°, rel. 39
(1 1 0), 25.07°, rel. 31
(0 2 2), 25.94°, rel. 45
(1 2 1), 32.68°, rel. 69
(1 1 4), 35.51°, rel. 100
(1 3 2), 43.34°, rel. 47
(2 0 0), 45.50°, rel. 27
(1 2 9), 67.50°, rel. 29

Crystal structure
Cell lengths 3.987, 7.819, 14.392 Å; angles 90.00, 90.00, 90.00 degrees
Space group Immm (No. 71)
Unique sites:
Y: 0.000 0.000 0.000 (multiplicity 2)
Y: 0.000 0.500 0.116 (multiplicity 4)
Mg: 0.000 0.308 0.327 (multiplicity 8)
Ir: 0.000 0.000 0.235 (multiplicity 4)
Ir: 0.000 0.189 0.500 (multiplicity 4)

***

Entry 10:
Theoretical XRD peak list of Y6MgIr for copper Kα, from a structure optimized by DFT (PBE).

Peak list (8 most intense, 10° ≤ 2θ ≤ 90°, by angle)
(0 1 0), 15.45°, rel. 54
(-1 1 1), 17.48°, rel. 22
(1 0 -2), 23.98°, rel. 28
(-2 1 2), 29.36°, rel. 100
(2 0 -2), 31.19°, rel. 21
(1 1 1), 38.64°, rel. 49
(-3 3 1), 45.17°, rel. 34
(2 -1 2), 50.91°, rel. 21

Crystal structure
Cell lengths 6.948, 6.954, 7.448 Å; angles 90.10, 117.71, 119.93 degrees
Space group P-1 (No. 2)
Unique sites:
Y: 0.043 0.078 0.253 (multiplicity 2)
Y: 0.287 0.709 0.252 (multiplicity 2)
Y: 0.324 0.534 0.747 (multiplicity 2)
Mg: 0.500 0.000 0.000 (multiplicity 1)
Ir: 0.500 0.500 0.500 (multiplicity 1)

***

Entry 11:
Theoretical XRD peak list of Mg5Zn2Ir for copper Kα, from a structure optimized by DFT (PBE).

Peak list (8 most intense, 10° ≤ 2θ ≤ 90°, by angle)
(1 1 0), 18.18°, rel. 25
(1 1 2), 23.11°, rel. 100
(0 0 4), 28.51°, rel. 24
(2 0 2), 29.56°, rel. 22
(2 1 3), 36.20°, rel. 39
(2 0 4), 38.84°, rel. 33
(3 1 0), 41.38°, rel. 49
(3 1 4), 51.01°, rel. 31

Crystal structure
Cell lengths 6.901, 6.901, 12.524 Å; angles 90.00, 90.00, 90.00 degrees
Space group I4/mcm (No. 140)
Unique sites:
Mg: 0.000 0.000 0.000 (multiplicity 4)
Mg: 0.173 0.327 0.157 (multiplicity 16)
Zn: 0.126 0.374 0.500 (multiplicity 8)
Ir: 0.000 0.000 0.250 (multiplicity 4)

***

Entry 12:
Theoretical XRD peak list of Mg17Zn11Ir for copper Kα, from a structure optimized by DFT (PBE).

Peak list (8 most intense, 10° ≤ 2θ ≤ 90°, by angle)
(0 0 1), 11.69°, rel. 72
(0 2 0), 12.57°, rel. 94
(1 3 0), 21.46°, rel. 75
(1 3 -1), 21.86°, rel. 85
(4 2 -2), 37.70°, rel. 71
(1 5 -2), 37.96°, rel. 100
(3 5 -1), 41.84°, rel. 94
(3 5 -2), 42.45°, rel. 72

Crystal structure
Cell lengths 10.178, 14.093, 8.794 Å; angles 90.00, 120.59, 90.00 degrees
Space group Cm (No. 8)
Unique sites:
Mg: 0.000 0.000 0.000 (multiplicity 2)
Mg: 0.010 0.305 0.308 (multiplicity 4)
Mg: 0.014 0.000 0.640 (multiplicity 2)
Mg: 0.057 0.377 0.013 (multiplicity 4)
Mg: 0.135 0.500 0.348 (multiplicity 2)
Mg: 0.221 0.204 0.672 (multiplicity 4)
Mg: 0.318 0.000 0.304 (multiplicity 2)
Mg: 0.329 0.325 0.001 (multiplicity 4)
Mg: 0.336 0.000 0.719 (multiplicity 2)
Mg: 0.350 0.327 0.425 (multiplicity 4)
Mg: 0.497 0.136 0.630 (multiplicity 4)
Zn: 0.017 0.193 0.816 (multiplicity 4)
Zn: 0.097 0.095 0.369 (multiplicity 4)
Zn: 0.175 0.189 0.170 (multiplicity 4)
Zn: 0.271 0.094 0.983 (multiplicity 4)
Zn: 0.273 0.407 0.674 (multiplicity 4)
Zn: 0.334 0.500 0.206 (multiplicity 2)
Ir: 0.178 0.500 0.868 (multiplicity 2)

***

Entry 13:
Theoretical XRD peak list of MgZn6Ir2 for copper Kα, from a structure optimized by DFT (PBE).

Peak list (8 most intense, 10° ≤ 2θ ≤ 90°, by angle)
(1 0 1), 17.55°, rel. 25
(1 1 0), 23.93°, rel. 19
(0 1 2), 25.85°, rel. 17
(1 1 3), 41.12°, rel. 100
(3 0 0), 42.10°, rel. 86
(2 2 3), 60.31°, rel. 32
(4 1 3), 76.27°, rel. 32
(3 0 6), 84.31°, rel. 21

Crystal structure
Cell lengths 7.4358, 7.4358, 8.1586 Å; angles 90.00, 90.00, 120.00 degrees
Space group R-3m (No. 166, hexagonal axes)
Unique sites:
Mg: 0.0000 0.0000 0.0000 (multiplicity 3)
Zn: 0.0000 0.3288 0.5000 (multiplicity 18)
Ir: 0.0000 0.0000 0.3234 (multiplicity 6)